Computed X-ray diffraction stick pattern of Pa4Ti for Cu Kα (λ = 1.5418 Å), from a DFT-relaxed cell (GGA-PBE, Alexandria).
Intensities are scaled so that the largest is 100.

Peak list (10 most intense, 10° ≤ 2θ ≤ 90°, low angle first)
- 2θ 18.7, I 53, (1 1 0)
- 2θ 23.6, I 31, (2 0 0)
- 2θ 30.7, I 35, (1 1 1)
- 2θ 34.2, I 59, (2 0 -2)
- 2θ 34.6, I 39, (3 1 -1)
- 2θ 35.1, I 100, (0 2 1)
- 2θ 36.9, I 67, (2 2 -1)
- 2θ 37.2, I 44, (2 0 1)
- 2θ 37.9, I 32, (2 2 0)
- 2θ 57.4, I 33, (4 2 0)

Cell and atoms:
Lattice parameters (Å, degrees): 8.612 6.104 5.314 90.00 118.74 90.00
Sites, in units of the cell vectors:
Pa1 0.122 0.000 0.375
Pa2 0.250 0.250 0.000
Pa3 0.250 0.750 0.000
Pa4 0.378 0.500 0.625
Pa5 0.622 0.500 0.375
Pa6 0.750 0.250 0.000
Pa7 0.750 0.750 0.000
Pa8 0.878 0.000 0.625
Ti1 0.000 0.500 0.500
Ti2 0.500 0.000 0.500

Computed X-ray diffraction stick pattern of ZrPaTiV for Cu Kα (λ = 1.5418 Å), from a DFT-relaxed cell (GGA-PBE, Alexandria).
Intensities are scaled so that the largest is 100.

Peak list (10 most intense, 10° ≤ 2θ ≤ 90°, low angle first)
- 2θ 22.7, I 23, (1 1 1)
- 2θ 26.3, I 35, (2 0 0)
- 2θ 37.5, I 100, (2 2 0)
- 2θ 44.3, I 13, (3 1 1)
- 2θ 46.4, I 11, (2 2 2)
- 2θ 54.1, I 17, (4 0 0)
- 2θ 61.1, I 15, (4 2 0)
- 2θ 67.6, I 34, (4 2 2)
- 2θ 80.0, I 11, (4 4 0)
- 2θ 85.9, I 8, (6 0 0)

Cell and atoms:
Lattice parameters (Å, degrees): 6.786 6.786 6.786 90.00 90.00 90.00
Sites, in units of the cell vectors:
Zr1 0.000 0.000 0.000
Zr2 0.000 0.500 0.500
Zr3 0.500 0.000 0.500
Zr4 0.500 0.500 0.000
Pa1 0.000 0.000 0.500
Pa2 0.000 0.500 0.000
Pa3 0.500 0.000 0.000
Pa4 0.500 0.500 0.500
Ti1 0.250 0.250 0.250
Ti2 0.250 0.750 0.750
Ti3 0.750 0.250 0.750
Ti4 0.750 0.750 0.250
V1 0.250 0.250 0.750
V2 0.250 0.750 0.250
V3 0.750 0.250 0.250
V4 0.750 0.750 0.750

Computed X-ray diffraction stick pattern of TmZrPa for Cu Kα (λ = 1.5418 Å), from a DFT-relaxed cell (GGA-PBE, Alexandria).
Intensities are scaled so that the largest is 100.

Peak list (10 most intense, 10° ≤ 2θ ≤ 90°, low angle first)
- 2θ 31.4, I 24, (1 3 0)
- 2θ 33.3, I 100, (0 6 1)
- 2θ 33.5, I 81, (1 1 1)
- 2θ 35.3, I 45, (0 0 2)
- 2θ 36.1, I 31, (1 3 1)
- 2θ 43.8, I 28, (1 7 0)
- 2θ 51.9, I 19, (1 5 2)
- 2θ 57.4, I 25, (1 7 2)
- 2θ 62.1, I 31, (0 6 3)
- 2θ 68.3, I 25, (2 6 1)

Cell and atoms:
Lattice parameters (Å, degrees): 3.194 18.991 5.089 90.00 90.00 90.00
Sites, in units of the cell vectors:
Tm1 0.000 0.049 0.250
Tm2 0.000 0.951 0.750
Tm3 0.500 0.451 0.750
Tm4 0.500 0.549 0.250
Zr1 0.000 0.216 0.250
Zr2 0.000 0.784 0.750
Zr3 0.500 0.284 0.750
Zr4 0.500 0.716 0.250
Pa1 0.000 0.372 0.250
Pa2 0.000 0.628 0.750
Pa3 0.500 0.128 0.750
Pa4 0.500 0.872 0.250